Entry 1:
Theoretical X-ray powder pattern
Compound: Fe3W3N
Radiation: copper Kα
Structure: a PBE-relaxed structure
Lines closer than 0.1° are merged.

Principal peaks in the range 2θ = 5–70°, most intense first:
2θ (°), intensity
42.6, 100.0
40.0, 57.9
46.6, 52.1
32.5, 40.5
35.5, 27.8
69.8, 18.0
59.9, 17.3
64.9, 16.8
22.8, 14.3
13.9, 6.1

Cell and atoms:
abc: 11.030 11.030 11.030
angles: 90.00 90.00 90.00
Space group Fd-3m (No. 227, origin choice 2)
Inequivalent atoms, fractional coordinates:
1 Fe 0.000 0.000 0.000
2 Fe 0.046 0.046 0.204
3 W 0.078 0.375 0.875
4 N 0.000 0.000 0.500



Entry 2:
Theoretical X-ray powder pattern
Compound: FeW4N3
Radiation: copper Kα
Structure: a PBE-relaxed structure
Lines closer than 0.1° are merged.

Principal peaks in the range 2θ = 5–70°, most intense first:
2θ (°), intensity
42.6, 100.0
40.9, 57.8
27.4, 48.6
37.6, 45.9
66.5, 34.2
56.9, 27.5
34.5, 24.3
38.4, 22.3
54.0, 17.6
39.5, 15.3

Cell and atoms:
```
data_FeW4N3
_chemical_formula_sum 'Fe2 W8 N6'
_cell_length_a 2.8126
_cell_length_b 2.8126
_cell_length_c 26.0190
_cell_angle_alpha 90.00
_cell_angle_beta 90.00
_cell_angle_gamma 120.00
_symmetry_space_group_name_H-M 'P 63/m m c'
_symmetry_Int_Tables_number 194
_symmetry_space_group_name_Hall '-P 6c 2c'
loop_
_atom_site_label
_atom_site_type_symbol
_atom_site_fract_x
_atom_site_fract_y
_atom_site_fract_z
_atom_site_occupancy
Fe1 Fe 0.3333 0.6667 0.2500 1
W1 W 0.0000 0.0000 0.1702 1
W2 W 0.3333 0.6667 0.0576 1
N1 N 0.0000 0.0000 0.0000 1
N2 N 0.3333 0.6667 0.6145 1
```



Entry 3:
Theoretical X-ray powder pattern
Compound: Y4Fe3W2N3
Radiation: copper Kα
Structure: a PBE-relaxed structure
Lines closer than 0.1° are merged.

Principal peaks in the range 2θ = 5–70°, most intense first:
2θ (°), intensity
37.9, 100.0
37.5, 50.1
32.9, 32.8
39.4, 30.5
19.4, 25.8
37.6, 23.1
56.9, 20.0
41.8, 15.0
12.9, 13.5
31.8, 13.1

Cell and atoms:
```
data_Y4Fe3W2N3
_chemical_formula_sum 'Y16 Fe12 W8 N12'
_cell_length_a 9.589
_cell_length_b 5.624
_cell_length_c 13.738
_cell_angle_alpha 90.00
_cell_angle_beta 90.15
_cell_angle_gamma 90.00
_symmetry_space_group_name_H-M 'C 1 2 1'
_symmetry_Int_Tables_number 5
_symmetry_space_group_name_Hall 'C 2y'
loop_
_atom_site_label
_atom_site_type_symbol
_atom_site_fract_x
_atom_site_fract_y
_atom_site_fract_z
_atom_site_occupancy
Y1 Y 0.002 0.000 0.371 1
Y2 Y 0.002 0.341 0.871 1
Y3 Y 0.167 0.494 0.343 1
Y4 Y 0.167 0.848 0.843 1
Fe1 Fe 0.000 0.499 0.500 1
Fe2 Fe 0.000 0.842 0.000 1
Fe3 Fe 0.249 0.072 0.006 1
Fe4 Fe 0.249 0.270 0.506 1
W1 W 0.162 0.498 0.667 1
W2 W 0.162 0.843 0.167 1
N1 N 0.000 0.671 0.250 1
N2 N 0.165 0.145 0.251 1
N3 N 0.165 0.196 0.751 1
```



Entry 4:
Theoretical X-ray powder pattern
Compound: Y3FeN2
Radiation: copper Kα
Structure: a PBE-relaxed structure
Lines closer than 0.1° are merged.

Principal peaks in the range 2θ = 5–70°, most intense first:
2θ (°), intensity
35.5, 100.0
38.2, 44.5
30.4, 36.6
53.3, 34.6
65.7, 15.2
52.7, 15.1
66.9, 13.2
37.4, 12.5
27.8, 10.7
48.7, 9.7

Cell and atoms:
```
data_Y3FeN2
_chemical_formula_sum 'Y6 Fe2 N4'
_cell_length_a 3.4350
_cell_length_b 3.4350
_cell_length_c 19.2547
_cell_angle_alpha 90.00
_cell_angle_beta 90.00
_cell_angle_gamma 120.00
_symmetry_space_group_name_H-M 'P 63/m m c'
_symmetry_Int_Tables_number 194
_symmetry_space_group_name_Hall '-P 6c 2c'
loop_
_atom_site_label
_atom_site_type_symbol
_atom_site_fract_x
_atom_site_fract_y
_atom_site_fract_z
_atom_site_occupancy
Y1 Y 0.0000 0.0000 0.0000 1
Y2 Y 0.3333 0.6667 0.1461 1
Fe1 Fe 0.0000 0.0000 0.2500 1
N1 N 0.3333 0.6667 0.5745 1
```



Entry 5:
Theoretical X-ray powder pattern
Compound: Na4Fe
Radiation: copper Kα
Structure: a PBE-relaxed structure
Lines closer than 0.1° are merged.

Principal peaks in the range 2θ = 5–70°, most intense first:
2θ (°), intensity
12.1, 100.0
33.1, 30.0
38.8, 20.9
39.3, 20.5
27.6, 19.7
27.1, 17.4
40.7, 16.6
32.7, 15.9
44.4, 15.8
32.8, 15.7

Cell and atoms:
```
data_Na4Fe
_chemical_formula_sum 'Na8 Fe2'
_cell_length_a 4.914
_cell_length_b 7.297
_cell_length_c 7.298
_cell_angle_alpha 88.87
_cell_angle_beta 89.84
_cell_angle_gamma 89.84
_symmetry_space_group_name_H-M 'P -1'
_symmetry_Int_Tables_number 2
_symmetry_space_group_name_Hall '-P 1'
loop_
_atom_site_label
_atom_site_type_symbol
_atom_site_fract_x
_atom_site_fract_y
_atom_site_fract_z
_atom_site_occupancy
Na1 Na 0.000 0.151 0.171 1
Na2 Na 0.001 0.663 0.343 1
Na3 Na 0.499 0.159 0.838 1
Na4 Na 0.500 0.330 0.347 1
Fe1 Fe 0.239 0.500 0.000 1
```



Entry 6:
Theoretical X-ray powder pattern
Compound: NaFePS4
Radiation: copper Kα
Structure: a PBE-relaxed structure
Lines closer than 0.1° are merged.

Principal peaks in the range 2θ = 5–70°, most intense first:
2θ (°), intensity
17.1, 100.0
38.6, 39.5
28.2, 39.4
35.3, 31.6
49.5, 28.9
58.9, 21.4
34.6, 18.8
24.3, 17.2
22.6, 15.0
56.1, 11.3

Cell and atoms:
```
data_NaFePS4
_chemical_formula_sum 'Na4 Fe4 P4 S16'
_cell_length_a 7.334
_cell_length_b 7.334
_cell_length_c 12.092
_cell_angle_alpha 90.00
_cell_angle_beta 90.00
_cell_angle_gamma 90.00
_symmetry_space_group_name_H-M 'I 4/m c m'
_symmetry_Int_Tables_number 140
_symmetry_space_group_name_Hall '-I 4 2c'
loop_
_atom_site_label
_atom_site_type_symbol
_atom_site_fract_x
_atom_site_fract_y
_atom_site_fract_z
_atom_site_occupancy
Na1 Na 0.000 0.000 0.250 1
Fe1 Fe 0.000 0.500 0.000 1
P1 P 0.000 0.500 0.250 1
S1 S 0.149 0.351 0.135 1
```



Entry 7:
Theoretical X-ray powder pattern
Compound: Na3Fe2S4
Radiation: copper Kα
Structure: a PBE-relaxed structure
Lines closer than 0.1° are merged.

Principal peaks in the range 2θ = 5–70°, most intense first:
2θ (°), intensity
15.8, 100.0
16.6, 32.9
29.8, 30.6
45.2, 25.3
27.5, 23.2
33.2, 21.1
48.8, 17.3
38.0, 16.1
33.6, 15.8
37.2, 15.5

Cell and atoms:
```
data_Na3Fe2S4
_chemical_formula_sum 'Na12 Fe8 S16'
_cell_length_a 6.587
_cell_length_b 10.449
_cell_length_c 10.662
_cell_angle_alpha 90.00
_cell_angle_beta 90.00
_cell_angle_gamma 90.00
_symmetry_space_group_name_H-M 'P n m a'
_symmetry_Int_Tables_number 62
_symmetry_space_group_name_Hall '-P 2ac 2n'
loop_
_atom_site_label
_atom_site_type_symbol
_atom_site_fract_x
_atom_site_fract_y
_atom_site_fract_z
_atom_site_occupancy
Na1 Na 0.048 0.083 0.143 1
Na2 Na 0.086 0.250 0.762 1
Fe1 Fe 0.050 0.126 0.472 1
S1 S 0.118 0.750 0.666 1
S2 S 0.165 0.553 0.376 1
S3 S 0.186 0.750 0.037 1
```



Entry 8:
Theoretical X-ray powder pattern
Compound: Nb2Fe
Radiation: copper Kα
Structure: a PBE-relaxed structure
Lines closer than 0.1° are merged.

Principal peaks in the range 2θ = 5–70°, most intense first:
2θ (°), intensity
39.8, 100.0
41.7, 56.7
64.5, 30.1
20.5, 29.2
33.8, 14.9
48.5, 13.2
53.2, 6.8
60.4, 4.9

Cell and atoms:
abc: 7.504 7.504 7.504
angles: 90.00 90.00 90.00
Space group Fd-3m (No. 227, origin choice 2)
Inequivalent atoms, fractional coordinates:
1 Nb 0.000 0.000 0.000
2 Fe 0.125 0.125 0.625